Simulated powder diffractogram
Compound: LiMnIr2
Radiation: Cu Ka
Structure: the PBE geometry in the Materials Project
Intensities are scaled so that the largest is 100.

Main lines, sorted by position (10 to 80 degrees two-theta):
two_theta  Rel. int.  (hkl)
26.2  4  1 1 1
30.4  68  2 0 0
43.5  100  2 2 0
51.5  1  3 1 1
53.9  19  2 2 2
63.1  16  4 0 0
69.6  1  3 3 1
71.7  25  4 2 0
79.8  34  4 2 2

Structural model:
```
data_LiMnIr2
_space_group_name_H-M_alt 'F m -3 m'
_space_group_IT_number 225
_space_group_name_Hall '-F 4 2 3'
_cell_length_a 5.889
_cell_length_b 5.889
_cell_length_c 5.889
_cell_angle_alpha 90.00
_cell_angle_beta 90.00
_cell_angle_gamma 90.00
loop_
_atom_site_label
_atom_site_fract_x
_atom_site_fract_y
_atom_site_fract_z
_atom_site_occupancy
Li1 0.000 0.000 0.000 1
Mn1 0.000 0.000 0.500 1
Ir1 0.250 0.250 0.250 1
```

Simulated powder diffractogram
Compound: BaNaZr2F11
Radiation: Cu Ka
Structure: the PBE geometry in the Materials Project
Intensities are scaled so that the largest is 100.

Main lines, sorted by position (10 to 80 degrees two-theta):
two_theta  Rel. int.  (hkl)
14.8  43  0 0 4
21.3  28  1 0 5
24.0  100  1 2 1
25.9  78  2 0 4
26.3  30  1 2 3
26.9  48  1 1 6
30.2  26  2 2 0
40.8  66  1 3 6
48.6  48  2 4 0
51.4  32  3 1 10

Structural model:
```
data_BaNaZr2F11
_space_group_name_H-M_alt 'I 41/a'
_space_group_IT_number 88
_cell_length_a 8.380
_cell_length_b 8.380
_cell_length_c 23.999
_cell_angle_alpha 90.00
_cell_angle_beta 90.00
_cell_angle_gamma 90.00
loop_
_space_group_symop_operation_xyz
'x,y,z'
'-x,-y,-z'
'-y+3/4,x+1/4,z+1/4'
'y+3/4,-x+1/4,-z+1/4'
'-x+1/2,-y,z+1/2'
'x+1/2,y,-z+1/2'
'y+3/4,-x+3/4,z+3/4'
'-y+3/4,x+3/4,-z+3/4'
'x+1/2,y+1/2,z+1/2'
'-x+1/2,-y+1/2,-z+1/2'
'-y+1/4,x+3/4,z+3/4'
'y+1/4,-x+3/4,-z+3/4'
'-x,-y+1/2,z'
'x,y+1/2,-z'
'y+1/4,-x+1/4,z+1/4'
'-y+1/4,x+1/4,-z+1/4'
loop_
_atom_site_label
_atom_site_fract_x
_atom_site_fract_y
_atom_site_fract_z
_atom_site_occupancy
Ba1 0.000 0.250 0.037 1
Na1 0.000 0.250 0.510 1
Zr1 0.138 0.465 0.374 1
F1 0.000 0.250 0.373 1
F2 0.070 0.453 0.576 1
F3 0.072 0.461 0.676 1
F4 0.113 0.069 0.799 1
F5 0.114 0.062 0.953 1
F6 0.119 0.060 0.126 1
```

Simulated powder diffractogram
Compound: CeO2
Radiation: Cu Ka
Structure: the PBE geometry in the Materials Project
Intensities are scaled so that the largest is 100.

Main lines, sorted by position (10 to 80 degrees two-theta):
two_theta  Rel. int.  (hkl)
27.0  23  1 0 0
29.8  32  0 0 2
30.9  100  1 0 1
40.6  37  1 0 2
47.6  38  1 1 0
53.6  22  1 0 3
57.2  30  1 1 2
57.8  18  2 0 1
74.4  9  2 0 3
78.1  15  2 1 1

Structural model:
```
data_CeO2
_space_group_name_H-M_alt 'P 63/m m c'
_space_group_IT_number 194
_space_group_name_Hall '-P 6c 2c'
_cell_length_a 3.8201
_cell_length_b 3.8201
_cell_length_c 5.9981
_cell_angle_alpha 90.00
_cell_angle_beta 90.00
_cell_angle_gamma 120.00
loop_
_atom_site_label
_atom_site_fract_x
_atom_site_fract_y
_atom_site_fract_z
_atom_site_occupancy
Ce1 0.3333 0.6667 0.2500 1
O1 0.0000 0.0000 0.0000 1
O2 0.3333 0.6667 0.7500 1
```

Simulated powder diffractogram
Compound: K2PuCl5
Radiation: Cu Ka
Structure: the PBE geometry in the Materials Project
Intensities are scaled so that the largest is 100.

Main lines, sorted by position (10 to 80 degrees two-theta):
two_theta  Rel. int.  (hkl)
12.9  100  1 0 1
13.6  49  2 0 0
23.2  35  3 0 1
24.5  50  1 2 1
24.8  32  2 2 0
31.3  23  4 1 1
33.5  35  2 2 2
34.5  24  4 2 0
37.8  30  2 1 3
42.0  29  5 2 1

Structural model:
```
data_K2PuCl5
_space_group_name_H-M_alt 'P n m a'
_space_group_IT_number 62
_space_group_name_Hall '-P 2ac 2n'
_cell_length_a 13.066
_cell_length_b 8.575
_cell_length_c 8.031
_cell_angle_alpha 90.00
_cell_angle_beta 90.00
_cell_angle_gamma 90.00
loop_
_atom_site_label
_atom_site_fract_x
_atom_site_fract_y
_atom_site_fract_z
_atom_site_occupancy
K1 0.177 0.008 0.038 1
Pu1 0.006 0.250 0.566 1
Cl1 0.018 0.250 0.917 1
Cl2 0.080 0.542 0.659 1
Cl3 0.177 0.250 0.371 1
Cl4 0.194 0.750 0.325 1
```